The following is a theoretical powder diffractogram of Sm3Tl3MoO8. It was derived from a crystal structure in Alexandria, relaxed with PBE+U, using Cu Kα X-rays.
Kinematic intensities with the Lorentz-polarization factor, no thermal factor.

Principal peaks in the range 10 to 90 degrees two-theta, in order of falling intensity:
hkl	Position (°2θ)	I_rel
2 2 -2	34.87	1000
2 2 0	30.84	926
0 0 2	27.27	704
4 0 0	34.44	520
4 0 -2	30.74	467
2 2 2	47.59	369

```
data_Sm3Tl3MoO8
_symmetry_space_group_name_H-M 'C 1 2/m 1'
_symmetry_Int_Tables_number 12
_cell_length_a 12.220
_cell_length_b 6.981
_cell_length_c 7.672
_cell_angle_alpha 90.00
_cell_angle_beta 121.52
_cell_angle_gamma 90.00
loop_
_symmetry_equiv_pos_as_xyz
'x,y,z'
'-x,-y,-z'
'-x,y,-z'
'x,-y,z'
'x+1/2,y+1/2,z'
'-x+1/2,-y+1/2,-z'
'-x+1/2,y+1/2,-z'
'x+1/2,-y+1/2,z'
loop_
_atom_site_label
_atom_site_fract_x
_atom_site_fract_y
_atom_site_fract_z
Sm1 0.000 0.000 0.000
Sm2 0.250 0.250 0.000
Tl1 0.000 0.500 0.500
Tl2 0.250 0.250 0.500
Mo1 0.000 0.500 0.000
O1 0.021 0.276 0.836
O2 0.211 0.500 0.168
O3 0.223 0.000 0.173
```